Entry 1:
# Pr2In2Au
Theoretical X-ray diffraction stick pattern, CuKα. Input: a crystal structure in Alexandria, relaxed with PBE.

Most intense lines, 2θ = 15–90°, in order of rising 2θ:
two_theta	I (rel.)	index
29.5	80.1	1 1 2
30.0	68.1	1 1 -3
30.6	27.9	3 1 -2
31.3	33.8	4 0 -2
33.3	53.8	3 1 -3
36.8	100.0	3 1 1
38.0	89.7	0 2 0
67.9	37.1	3 1 -8

Lattice parameters (Å, degrees): 11.4280 4.7370 11.5865 90.00 117.23 90.00
Space group C2/m (No. 12)
Asymmetric unit:
Pr 0.0076 0.0000 0.3278 [4 per cell]
Pr 0.1840 0.0000 0.1180 [4 per cell]
In 0.0347 0.5000 0.8905 [4 per cell]
In 0.1458 0.5000 0.5535 [4 per cell]
Au 0.2199 0.5000 0.3325 [4 per cell]

Entry 2:
# AcTlSnPt
Theoretical X-ray diffraction stick pattern, CuKα. Input: a crystal structure in Alexandria, relaxed with PBE.

Most intense lines, 2θ = 15–90°, in order of rising 2θ:
two_theta	I (rel.)	index
20.5	4.1	1 1 1
33.8	100.0	2 2 0
39.9	2.3	3 1 1
48.6	18.5	4 0 0
53.2	1.0	3 3 1
60.5	38.8	4 2 2
71.1	12.1	4 4 0
81.1	17.2	6 2 0

Lattice parameters (Å, degrees): 7.4987 7.4987 7.4987 90.00 90.00 90.00
Space group F-43m (No. 216)
Asymmetric unit:
Ac 0.0000 0.0000 0.0000 [4 per cell]
Tl 0.2500 0.2500 0.7500 [4 per cell]
Sn 0.0000 0.0000 0.5000 [4 per cell]
Pt 0.2500 0.2500 0.2500 [4 per cell]

Entry 3:
# NbP4S10Cl5
Theoretical X-ray diffraction stick pattern, CuKα. Input: a crystal structure in Alexandria, relaxed with PBE.

Most intense lines, 2θ = 15–90°, in order of rising 2θ:
two_theta	I (rel.)	index
17.8	89.7	1 2 2
18.6	100.0	2 0 1
19.8	86.0	0 2 -1
20.8	65.5	1 0 -2
27.3	60.3	2 3 3
27.7	65.2	0 3 -1
27.9	61.1	3 0 1
32.1	93.8	2 0 4

Lattice parameters (Å, degrees): 10.4095 11.9488 12.4971 70.45 67.39 67.40
Space group P-1 (No. 2)
Asymmetric unit:
Nb 0.0367 0.1295 0.3475 [2 per cell]
P 0.0227 0.3257 0.7706 [2 per cell]
P 0.2981 0.0605 0.8350 [2 per cell]
P 0.3075 0.3473 0.8348 [2 per cell]
P 0.3687 0.2752 0.5699 [2 per cell]
S 0.0724 0.1341 0.8527 [2 per cell]
S 0.0816 0.4201 0.8528 [2 per cell]
S 0.1428 0.3486 0.5882 [2 per cell]
S 0.1820 0.6071 0.2132 [2 per cell]
S 0.3425 0.8868 0.9103 [2 per cell]
S 0.3560 0.1557 0.9168 [2 per cell]
S 0.3585 0.4334 0.9105 [2 per cell]
S 0.4172 0.0837 0.6524 [2 per cell]
S 0.4266 0.3700 0.6523 [2 per cell]
S 0.4758 0.2965 0.4040 [2 per cell]
Cl 0.0887 0.7886 0.7900 [2 per cell]
Cl 0.1239 0.7299 0.5331 [2 per cell]
Cl 0.1359 0.0081 0.5277 [2 per cell]
Cl 0.1884 0.9582 0.2642 [2 per cell]
Cl 0.2109 0.2300 0.2697 [2 per cell]

Entry 4:
# CePm5Ru3
Theoretical X-ray diffraction stick pattern, CuKα. Input: a crystal structure in Alexandria, relaxed with PBE.

Most intense lines, 2θ = 15–90°, in order of rising 2θ:
two_theta	I (rel.)	index
19.2	37.2	0 2 0
28.1	100.0	2 2 1
28.7	72.3	0 0 3
30.7	35.4	1 3 -1
31.8	48.7	3 1 -3
37.1	45.5	1 3 2
41.3	34.2	4 0 2
47.4	61.7	1 3 -4

Lattice parameters (Å, degrees): 12.4391 9.2636 9.8863 90.00 109.04 90.00
Space group C2/m (No. 12)
Asymmetric unit:
Ce 0.0815 0.0000 0.2886 [4 per cell]
Pm 0.0000 0.3030 0.0000 [4 per cell]
Pm 0.0354 0.5000 0.3493 [4 per cell]
Pm 0.1860 0.1937 0.6511 [8 per cell]
Pm 0.2344 0.0000 0.0434 [4 per cell]
Ru 0.0000 0.0000 0.0000 [2 per cell]
Ru 0.0000 0.0000 0.5000 [2 per cell]
Ru 0.1596 0.5000 0.1664 [4 per cell]
Ru 0.2166 0.5000 0.6230 [4 per cell]

Entry 5:
# CeCo2Si4
Theoretical X-ray diffraction stick pattern, CuKα. Input: a crystal structure in Alexandria, relaxed with PBE.

Most intense lines, 2θ = 15–90°, in order of rising 2θ:
two_theta	I (rel.)	index
15.3	24.9	1 0 1
24.8	33.5	2 1 0
31.4	25.4	3 1 1
36.5	23.0	4 0 2
38.4	100.0	2 1 2
38.6	61.8	5 1 1
41.7	37.0	7 0 1
45.3	37.3	0 2 0

Lattice parameters (Å, degrees): 16.2027 4.0034 6.1986 90.00 90.00 90.00
Space group Pnma (No. 62)
Asymmetric unit:
Ce 0.1378 0.2500 0.0053 [4 per cell]
Co 0.0333 0.7500 0.7458 [4 per cell]
Co 0.2117 0.2500 0.4839 [4 per cell]
Si 0.0291 0.7500 0.1528 [4 per cell]
Si 0.0676 0.2500 0.5223 [4 per cell]
Si 0.1815 0.7500 0.6826 [4 per cell]
Si 0.1995 0.7500 0.2864 [4 per cell]

Entry 6:
# HfNiIr
Theoretical X-ray diffraction stick pattern, CuKα. Input: a crystal structure in Alexandria, relaxed with PBE.

Most intense lines, 2θ = 15–90°, in order of rising 2θ:
two_theta	I (rel.)	index
29.1	12.3	0 4 0
33.7	17.0	1 1 1
39.8	100.0	1 3 1
44.3	15.9	0 6 0
45.7	17.7	0 0 2
48.7	14.7	2 0 0
80.5	12.9	1 3 3
85.0	11.4	3 3 1

Lattice parameters (Å, degrees): 3.7367 12.2646 3.9715 90.00 90.00 90.00
Space group Cmcm (No. 63)
Asymmetric unit:
Hf 0.0000 0.1004 0.2500 [4 per cell]
Ni 0.0000 0.2506 0.7500 [4 per cell]
Ir 0.0000 0.4108 0.2500 [4 per cell]

Entry 7:
# Er2BS4
Theoretical X-ray diffraction stick pattern, CuKα. Input: a crystal structure in Alexandria, relaxed with PBE.

Most intense lines, 2θ = 15–90°, in order of rising 2θ:
two_theta	I (rel.)	index
19.3	93.3	1 1 0
21.7	35.9	0 0 2
27.4	26.9	2 0 0
29.2	100.0	1 1 2
35.2	52.7	2 0 2
39.1	28.0	2 2 0
44.0	34.7	3 1 0
49.6	39.8	3 1 2

Lattice parameters (Å, degrees): 6.5097 6.5097 8.1923 90.00 90.00 90.00
Space group I-42m (No. 121)
Asymmetric unit:
Er 0.0000 0.5000 0.2500 [4 per cell]
B 0.0000 0.0000 0.0000 [2 per cell]
S 0.1853 0.1853 0.1135 [8 per cell]

Entry 8:
# AlIn5Rh6
Theoretical X-ray diffraction stick pattern, CuKα. Input: a crystal structure in Alexandria, relaxed with PBE.

Most intense lines, 2θ = 15–90°, in order of rising 2θ:
two_theta	I (rel.)	index
39.4	100.0	1 3 2
40.6	23.3	0 6 0
40.7	22.9	2 0 0
55.1	9.0	0 0 4
58.9	15.6	2 6 0
70.7	16.7	2 0 4
73.2	30.5	3 3 2
84.9	10.2	2 6 4

Lattice parameters (Å, degrees): 4.4345 13.3198 6.6712 90.00 90.00 90.00
Space group Cmmm (No. 65)
Asymmetric unit:
Al 0.0000 0.0000 0.0000 [2 per cell]
In 0.0000 0.0000 0.5000 [2 per cell]
In 0.0000 0.3333 0.0000 [4 per cell]
In 0.0000 0.3331 0.5000 [4 per cell]
Rh 0.0000 0.1617 0.2431 [8 per cell]
Rh 0.0000 0.5000 0.2369 [4 per cell]

Entry 9:
# TbTmHg2
Theoretical X-ray diffraction stick pattern, CuKα. Input: a crystal structure in Alexandria, relaxed with PBE.

Most intense lines, 2θ = 15–90°, in order of rising 2θ:
two_theta	I (rel.)	index
28.6	34.9	0 1 2
32.3	100.0	0 1 5
36.1	68.4	1 0 7
39.1	27.2	0 0 12
49.2	42.9	1 1 0
60.1	17.3	2 0 5
64.2	15.1	0 1 17
64.6	37.9	1 1 12

Lattice parameters (Å, degrees): 3.7024 3.7024 27.6672 90.00 90.00 120.00
Space group R3m (No. 160, hexagonal axes)
Asymmetric unit:
Tb 0.0000 0.0000 0.0000 [3 per cell]
Tm 0.0000 0.0000 0.1664 [3 per cell]
Hg 0.0000 0.0000 0.5816 [3 per cell]
Hg 0.0000 0.0000 0.7518 [3 per cell]

Entry 10:
# KHfGaCl6
Theoretical X-ray diffraction stick pattern, CuKα. Input: a crystal structure in Alexandria, relaxed with PBE.

Most intense lines, 2θ = 15–90°, in order of rising 2θ:
two_theta	I (rel.)	index
15.6	100.0	1 0 1
20.3	80.1	1 0 2
23.9	31.4	1 1 0
28.3	48.3	1 1 2
31.5	25.8	2 0 2
38.7	63.3	1 1 4
40.0	28.7	2 1 2
42.0	29.8	3 0 0

Lattice parameters (Å, degrees): 7.4499 7.4499 11.8977 90.00 90.00 120.00
Space group P-31c (No. 163)
Asymmetric unit:
K 0.3333 0.6667 0.2500 [2 per cell]
Hf 0.3333 0.6667 0.7500 [2 per cell]
Ga 0.0000 0.0000 0.0000 [2 per cell]
Cl 0.0676 0.3920 0.6300 [12 per cell]

Entry 11:
# MgSb4O9
Theoretical X-ray diffraction stick pattern, CuKα. Input: a crystal structure in Alexandria, relaxed with PBE.

Most intense lines, 2θ = 15–90°, in order of rising 2θ:
two_theta	I (rel.)	index
21.1	28.8	2 0 0
29.2	100.0	1 2 1
33.6	17.5	3 1 0
34.2	12.2	0 0 2
47.8	18.4	1 4 1
48.7	23.9	3 1 2
57.4	18.9	4 3 1
58.1	16.0	1 2 3

Lattice parameters (Å, degrees): 8.4269 8.4269 5.2499 90.00 90.00 90.00
Space group P4/n (No. 85, origin choice 2)
Asymmetric unit:
Mg 0.2500 0.2500 0.2268 [2 per cell]
Sb 0.0454 0.8889 0.2616 [8 per cell]
O 0.0257 0.3432 0.9258 [8 per cell]
O 0.0792 0.1124 0.4069 [8 per cell]
O 0.2500 0.7500 0.5000 [2 per cell]

Entry 12:
# BeNiTe
Theoretical X-ray diffraction stick pattern, CuKα. Input: a crystal structure in Alexandria, relaxed with PBE.

Most intense lines, 2θ = 15–90°, in order of rising 2θ:
two_theta	I (rel.)	index
21.2	32.8	0 0 2
27.3	100.0	1 1 0
28.0	47.0	2 0 0
30.7	59.4	2 0 -2
32.5	27.1	2 0 1
45.4	65.0	1 1 3
47.9	67.2	0 2 0
48.5	36.8	2 0 3

Lattice parameters (Å, degrees): 6.5785 3.7976 8.6496 90.00 104.58 90.00
Space group Cm (No. 8)
Asymmetric unit:
Be 0.0000 0.0000 0.0000 [2 per cell]
Be 0.1122 0.5000 0.8351 [2 per cell]
Ni 0.2011 0.5000 0.1038 [2 per cell]
Ni 0.3175 0.0000 0.9521 [2 per cell]
Te 0.2208 0.0000 0.6609 [2 per cell]
Te 0.4185 0.0000 0.2566 [2 per cell]

Repeat the tenth record exactly.
# KHfGaCl6
Theoretical X-ray diffraction stick pattern, CuKα. Input: a crystal structure in Alexandria, relaxed with PBE.

Most intense lines, 2θ = 15–90°, in order of rising 2θ:
two_theta	I (rel.)	index
15.6	100.0	1 0 1
20.3	80.1	1 0 2
23.9	31.4	1 1 0
28.3	48.3	1 1 2
31.5	25.8	2 0 2
38.7	63.3	1 1 4
40.0	28.7	2 1 2
42.0	29.8	3 0 0

Lattice parameters (Å, degrees): 7.4499 7.4499 11.8977 90.00 90.00 120.00
Space group P-31c (No. 163)
Asymmetric unit:
K 0.3333 0.6667 0.2500 [2 per cell]
Hf 0.3333 0.6667 0.7500 [2 per cell]
Ga 0.0000 0.0000 0.0000 [2 per cell]
Cl 0.0676 0.3920 0.6300 [12 per cell]

Q: Number 10 is which compound?
A: KHfGaCl6